Entry 1:
Diffraction record for CrCoNF6. The PXRD pattern is theoretical, not measured: it uses a DFT-relaxed cell (GGA+U, the Materials Project) and CuKα.

The 10 most intense peaks (10 to 80 degrees two-theta), sorted by position:
(0 1 1), 15.11 deg, I 100
(1 0 1), 15.51 deg, I 84
(0 1 3), 29.32 deg, I 21
(2 1 1), 29.95 deg, I 14
(0 2 2), 30.50 deg, I 30
(2 0 2), 31.32 deg, I 29
(0 4 0), 50.67 deg, I 12
(2 2 4), 51.51 deg, I 44
(4 0 0), 52.82 deg, I 10
(2 4 2), 60.81 deg, I 11

Structure:
```
data_CrCoNF6
_cell_length_a 6.9324
_cell_length_b 7.2058
_cell_length_c 10.0800
_cell_angle_alpha 90.00
_cell_angle_beta 90.00
_cell_angle_gamma 90.00
_space_group_name_H-M_alt 'I m m a'
_space_group_IT_number 74
_space_group_name_Hall '-I 2b 2'
loop_
_atom_site_label
_atom_site_fract_x
_atom_site_fract_y
_atom_site_fract_z
_atom_site_occupancy
Cr1 0.0000 0.0000 0.0000 1
Co1 0.2500 0.2500 0.2500 1
N1 0.0000 0.2500 0.1266 1
F1 0.0000 0.2500 0.3468 1
F2 0.0000 0.2500 0.9112 1
F3 0.2165 0.0262 0.1249 1
```

Entry 2:
Diffraction record for RbCrCoF6. The PXRD pattern is theoretical, not measured: it uses a DFT-relaxed cell (GGA+U, the Materials Project) and CuKα.

The 10 most intense peaks (10 to 80 degrees two-theta), sorted by position:
(0 1 1), 14.66 deg, I 11
(0 2 0), 24.04 deg, I 24
(0 1 3), 28.26 deg, I 100
(2 1 1), 28.39 deg, I 48
(0 2 2), 29.53 deg, I 18
(2 0 2), 29.64 deg, I 21
(0 3 3), 44.93 deg, I 20
(3 0 3), 45.12 deg, I 23
(0 4 0), 49.24 deg, I 54
(3 4 3), 68.99 deg, I 11

Structure:
```
data_RbCrCoF6
_cell_length_a 7.3608
_cell_length_b 7.4015
_cell_length_c 10.5007
_cell_angle_alpha 90.00
_cell_angle_beta 90.00
_cell_angle_gamma 90.00
_space_group_name_H-M_alt 'I m m a'
_space_group_IT_number 74
_space_group_name_Hall '-I 2b 2'
loop_
_atom_site_label
_atom_site_fract_x
_atom_site_fract_y
_atom_site_fract_z
_atom_site_occupancy
Rb1 0.0000 0.2500 0.1214 1
Cr1 0.0000 0.0000 0.5000 1
Co1 0.2500 0.2500 0.7500 1
F1 0.0000 0.2500 0.4345 1
F2 0.0000 0.2500 0.8274 1
F3 0.1918 0.0448 0.6230 1
```

Entry 3:
Diffraction record for Li4Cr2Fe3Co3O16. The PXRD pattern is theoretical, not measured: it uses a DFT-relaxed cell (GGA+U, the Materials Project) and CuKα.

The 10 most intense peaks (10 to 80 degrees two-theta), sorted by position:
(0 0 2), 18.92 deg, I 92
(2 0 -1), 20.14 deg, I 100
(0 2 2), 36.55 deg, I 40
(3 1 2), 36.73 deg, I 22
(4 0 -1), 37.28 deg, I 59
(2 2 -2), 40.89 deg, I 24
(2 2 2), 41.07 deg, I 23
(4 0 -3), 46.45 deg, I 38
(2 2 3), 46.66 deg, I 26
(0 4 0), 64.73 deg, I 48

Structure:
```
data_Li4Cr2Fe3Co3O16
_cell_length_a 9.9742
_cell_length_b 5.7634
_cell_length_c 9.3812
_cell_angle_alpha 90.00
_cell_angle_beta 90.44
_cell_angle_gamma 90.00
_space_group_name_H-M_alt 'C 1 m 1'
_space_group_IT_number 8
_space_group_name_Hall 'C -2y'
loop_
_atom_site_label
_atom_site_fract_x
_atom_site_fract_y
_atom_site_fract_z
_atom_site_occupancy
Li1 0.0000 0.0000 0.0000 1
Li2 0.0028 0.0000 0.4971 1
Li3 0.1727 0.5000 0.1032 1
Li4 0.3386 0.0000 0.6002 1
Cr1 0.1740 0.5000 0.5068 1
Cr2 0.3430 0.0000 0.0074 1
Fe1 0.0896 0.2541 0.7809 1
Fe2 0.1760 0.0000 0.2803 1
Co1 0.3356 0.5000 0.7804 1
Co2 0.4213 0.2444 0.2823 1
O1 0.0031 0.0000 0.6858 1
O2 0.0251 0.5000 0.6567 1
O3 0.0841 0.2479 0.3972 1
O4 0.1659 0.0000 0.8957 1
O5 0.1733 0.5000 0.8854 1
O6 0.2471 0.2784 0.6587 1
O7 0.2697 0.2254 0.1557 1
O8 0.3421 0.5000 0.3889 1
O9 0.3462 0.0000 0.3892 1
O10 0.4256 0.2572 0.8927 1
O11 0.4869 0.0000 0.1637 1
O12 0.4990 0.5000 0.1873 1
```

Entry 4:
Diffraction record for Li4Cr3Fe2Co3O16. The PXRD pattern is theoretical, not measured: it uses a DFT-relaxed cell (GGA+U, the Materials Project) and CuKα.

The 10 most intense peaks (10 to 80 degrees two-theta), sorted by position:
(0 0 2), 18.85 deg, I 85
(2 0 -1), 20.25 deg, I 100
(1 1 2), 26.10 deg, I 30
(1 1 -3), 33.79 deg, I 41
(3 1 -2), 36.73 deg, I 43
(2 2 -1), 37.53 deg, I 43
(2 2 -2), 41.14 deg, I 24
(2 2 -3), 46.65 deg, I 33
(4 0 -5), 61.79 deg, I 29
(6 2 0), 65.41 deg, I 31

Structure:
```
data_Li4Cr3Fe2Co3O16
_cell_length_a 9.8714
_cell_length_b 5.7305
_cell_length_c 9.4164
_cell_angle_alpha 90.00
_cell_angle_beta 90.32
_cell_angle_gamma 90.00
_space_group_name_H-M_alt 'C 1 m 1'
_space_group_IT_number 8
_space_group_name_Hall 'C -2y'
loop_
_atom_site_label
_atom_site_fract_x
_atom_site_fract_y
_atom_site_fract_z
_atom_site_occupancy
Li1 0.0000 0.0000 0.0000 1
Li2 0.0012 0.0000 0.4977 1
Li3 0.1616 0.5000 0.8980 1
Li4 0.3258 0.0000 0.3930 1
Cr1 0.3214 0.5000 0.2173 1
Cr2 0.4085 0.2405 0.7168 1
Fe1 0.1574 0.5000 0.4942 1
Fe2 0.3260 0.0000 0.0012 1
Co1 0.0805 0.2544 0.2153 1
Co2 0.1663 0.0000 0.7155 1
O1 0.0157 0.5000 0.3348 1
O2 0.0776 0.2471 0.6056 1
O3 0.1585 0.5000 0.1075 1
O4 0.1607 0.0000 0.1080 1
O5 0.2343 0.2786 0.3387 1
O6 0.2552 0.2201 0.8400 1
O7 0.3265 0.0000 0.6032 1
O8 0.3329 0.5000 0.6045 1
O9 0.4127 0.2563 0.1046 1
O10 0.4789 0.0000 0.8368 1
O11 0.4968 0.5000 0.3088 1
O12 0.4965 0.5000 0.8097 1
```